1.
Computed powder diffraction line list
Compound: Ho12TlCo6
Radiation: Cu Kα
Structure: the GGA-PBE geometry in Alexandria
Intensities are scaled so that the largest is 100.

Main lines, by angle (10° ≤ 2θ ≤ 90°):
2θ 29.4, I 47; 2θ 32.3, I 58; 2θ 34.9, I 100; 2θ 37.4, I 22; 2θ 48.3, I 25; 2θ 55.8, I 37; 2θ 59.3, I 40; 2θ 69.1, I 22

Cell and atoms:
Lattice parameters (Å, degrees): 8.321 8.321 8.321 109.47 109.47 109.47
Sites, in units of the cell vectors:
Ho  0.109  0.303  0.806
Ho  0.194  0.497  0.303
Ho  0.194  0.891  0.697
Ho  0.303  0.194  0.497
Ho  0.303  0.806  0.109
Ho  0.497  0.303  0.194
Ho  0.503  0.697  0.806
Ho  0.697  0.194  0.891
Ho  0.697  0.806  0.503
Ho  0.806  0.109  0.303
Ho  0.806  0.503  0.697
Ho  0.891  0.697  0.194
Tl  0.000  0.000  0.000
Co  0.113  0.500  0.613
Co  0.387  0.887  0.500
Co  0.500  0.387  0.887
Co  0.500  0.613  0.113
Co  0.613  0.113  0.500
Co  0.887  0.500  0.387

=====

2.
Computed powder diffraction line list
Compound: HoScB8Rh8
Radiation: Cu Kα
Structure: the GGA-PBE geometry in Alexandria
Intensities are scaled so that the largest is 100.

Main lines, by angle (10° ≤ 2θ ≤ 90°):
2θ 29.4, I 58; 2θ 35.9, I 100; 2θ 39.8, I 81; 2θ 40.3, I 66; 2θ 45.3, I 44; 2θ 48.4, I 22; 2θ 71.6, I 27; 2θ 82.1, I 20

Cell and atoms:
Lattice parameters (Å, degrees): 5.315 5.315 7.403 90.00 90.00 90.00
Sites, in units of the cell vectors:
Ho  0.000  0.000  0.000
Sc  0.500  0.500  0.500
B  0.000  0.330  0.647
B  0.000  0.670  0.647
B  0.168  0.500  0.147
B  0.330  0.000  0.353
B  0.500  0.168  0.853
B  0.500  0.832  0.853
B  0.670  0.000  0.353
B  0.832  0.500  0.147
Rh  0.000  0.250  0.355
Rh  0.000  0.750  0.355
Rh  0.250  0.000  0.645
Rh  0.253  0.500  0.850
Rh  0.500  0.253  0.150
Rh  0.500  0.747  0.150
Rh  0.747  0.500  0.850
Rh  0.750  0.000  0.645

=====

3.
Computed powder diffraction line list
Compound: Pr3Sm4S8
Radiation: Cu Kα
Structure: the GGA-PBE geometry in Alexandria
Intensities are scaled so that the largest is 100.

Main lines, by angle (10° ≤ 2θ ≤ 90°):
2θ 13.4, I 14; 2θ 27.0, I 65; 2θ 31.2, I 100; 2θ 44.8, I 60; 2θ 53.0, I 22; 2θ 55.5, I 13; 2θ 55.7, I 12; 2θ 74.1, I 21

Cell and atoms:
Lattice parameters (Å, degrees): 8.096 8.096 8.082 119.93 119.93 90.01
Sites, in units of the cell vectors:
Pr  0.000  0.000  0.000
Pr  0.000  0.500  0.000
Pr  0.500  0.000  0.000
Sm  0.000  0.500  0.500
Sm  0.500  0.000  0.500
Sm  0.500  0.500  0.000
Sm  0.500  0.500  0.500
S  0.252  0.748  0.500
S  0.253  0.747  0.000
S  0.254  0.254  0.505
S  0.255  0.255  0.005
S  0.745  0.745  0.995
S  0.746  0.746  0.495
S  0.747  0.253  0.000
S  0.748  0.252  0.500

=====

Which formula does entry 1 have?
Ho12TlCo6